# Cs4GaBi4
Calculated PXRD pattern, CuKα. Input: a crystal structure in Alexandria, relaxed with PBE.
Lines closer than 0.1° are merged.

Main lines, sorted by position (10° ≤ 2θ ≤ 80°):
12.50°, rel. 35
15.94°, rel. 33
21.86°, rel. 54
25.93°, rel. 100
30.30°, rel. 40
31.66°, rel. 22
37.67°, rel. 49
37.84°, rel. 18
42.62°, rel. 25
57.32°, rel. 17

Structure:
Unit cell a=9.8512 b=9.8512 c=9.8512 alpha=132.96 beta=132.96 gamma=68.71
Positions (direct):
Cs: 0.1866 0.1866 0.6215
Cs: 0.4349 0.8134 0.0000
Cs: 0.5651 0.5651 0.3785
Cs: 0.8134 0.4349 0.0000
Ga: 0.0000 0.0000 0.0000
Bi: 0.0031 0.7188 0.0000
Bi: 0.2812 0.2812 0.2843
Bi: 0.7188 0.0031 0.0000
Bi: 0.9969 0.9969 0.7157